[1]
Theoretical powder X-ray diffraction pattern of Na4Sm2Br9 for CuKα, from DFT lattice parameters and positions (PBE).

Largest 6 diffraction maxima, in order of falling intensity, 2θ = 10–90°:
Position (°2θ)	Rel. int.
27.19	100.0
35.96	64.9
41.52	47.7
13.57	46.2
47.48	23.5
16.22	23.3

Structure:
```
data_Na4Sm2Br9
_chemical_formula_sum 'Na8 Sm4 Br18'
_cell_length_a 7.530
_cell_length_b 7.534
_cell_length_c 20.016
_cell_angle_alpha 89.90
_cell_angle_beta 89.95
_cell_angle_gamma 60.04
_space_group_name_H-M_alt 'P -1'
_space_group_IT_number 2
loop_
_space_group_symop_operation_xyz
'x,y,z'
'-x,-y,-z'
loop_
_atom_site_label
_atom_site_type_symbol
_atom_site_fract_x
_atom_site_fract_y
_atom_site_fract_z
_atom_site_occupancy
Na1 Na 0.165 0.167 0.174 1
Na2 Na 0.166 0.166 0.984 1
Na3 Na 0.167 0.166 0.483 1
Na4 Na 0.168 0.166 0.675 1
Sm1 Sm 0.499 0.502 0.160 1
Sm2 Sm 0.500 0.499 0.340 1
Br1 Br 0.157 0.525 0.414 1
Br2 Br 0.159 0.817 0.913 1
Br3 Br 0.181 0.477 0.086 1
Br4 Br 0.182 0.844 0.586 1
Br5 Br 0.186 0.500 0.750 1
Br6 Br 0.186 0.815 0.250 1
Br7 Br 0.475 0.184 0.586 1
Br8 Br 0.475 0.844 0.086 1
Br9 Br 0.498 0.187 0.250 1
```

[2]
Theoretical powder X-ray diffraction pattern of NaSm2Br8 for CuKα, from DFT lattice parameters and positions (PBE).

Largest 6 diffraction maxima, in order of falling intensity, 2θ = 10–90°:
Position (°2θ)	Rel. int.
15.90	100.0
41.58	44.9
23.65	44.1
21.43	39.1
33.31	37.7
32.13	36.6

Structure:
```
data_NaSm2Br8
_chemical_formula_sum 'Na1 Sm2 Br8'
_cell_length_a 8.6886
_cell_length_b 8.6886
_cell_length_c 8.2924
_cell_angle_alpha 90.00
_cell_angle_beta 90.00
_cell_angle_gamma 120.00
_space_group_name_H-M_alt 'P -3 m 1'
_space_group_IT_number 164
_space_group_name_Hall '-P 3 2"'
loop_
_atom_site_label
_atom_site_type_symbol
_atom_site_fract_x
_atom_site_fract_y
_atom_site_fract_z
_atom_site_occupancy
Na1 Na 0.0000 0.0000 0.0000 1
Sm1 Sm 0.3333 0.6667 0.6908 1
Br1 Br 0.1608 0.3215 0.7895 1
Br2 Br 0.3333 0.6667 0.3629 1
```

[3]
Theoretical powder X-ray diffraction pattern of NaSmSnBr6 for CuKα, from DFT lattice parameters and positions (PBE).

Largest 6 diffraction maxima, in order of falling intensity, 2θ = 10–90°:
Position (°2θ)	Rel. int.
27.65	100.0
36.57	75.3
19.34	55.7
42.27	51.7
15.37	32.1
48.28	20.8

Structure:
```
data_NaSmSnBr6
_chemical_formula_sum 'Na2 Sm2 Sn2 Br12'
_cell_length_a 7.4061
_cell_length_b 7.4061
_cell_length_c 13.1390
_cell_angle_alpha 90.00
_cell_angle_beta 90.00
_cell_angle_gamma 120.00
_space_group_name_H-M_alt 'P -3 1 c'
_space_group_IT_number 163
_space_group_name_Hall '-P 3 2c'
loop_
_atom_site_label
_atom_site_type_symbol
_atom_site_fract_x
_atom_site_fract_y
_atom_site_fract_z
_atom_site_occupancy
Na1 Na 0.3333 0.6667 0.2500 1
Sm1 Sm 0.3333 0.6667 0.7500 1
Sn1 Sn 0.0000 0.0000 0.0000 1
Br1 Br 0.0119 0.3480 0.6258 1
```

[4]
Theoretical powder X-ray diffraction pattern of NaSn4Br8 for CuKα, from DFT lattice parameters and positions (PBE).

Largest 6 diffraction maxima, in order of falling intensity, 2θ = 10–90°:
Position (°2θ)	Rel. int.
28.83	100.0
39.94	42.6
13.09	40.5
42.48	34.0
23.17	24.6
50.00	21.5

Structure:
```
data_NaSn4Br8
_chemical_formula_sum 'Na3 Sn12 Br24'
_cell_length_a 9.0288
_cell_length_b 9.0288
_cell_length_c 20.2914
_cell_angle_alpha 90.00
_cell_angle_beta 90.00
_cell_angle_gamma 120.00
_space_group_name_H-M_alt 'R -3 m'
_space_group_IT_number 166
_space_group_name_Hall '-R 3 2"'
loop_
_atom_site_label
_atom_site_type_symbol
_atom_site_fract_x
_atom_site_fract_y
_atom_site_fract_z
_atom_site_occupancy
Na1 Na 0.0000 0.0000 0.0000 1
Sn1 Sn 0.0000 0.0000 0.5000 1
Sn2 Sn 0.0000 0.5000 0.5000 1
Br1 Br 0.0000 0.0000 0.2436 1
Br2 Br 0.0034 0.5017 0.7535 1
```

[5]
Theoretical powder X-ray diffraction pattern of Na6SnBr8 for CuKα, from DFT lattice parameters and positions (PBE).

Largest 6 diffraction maxima, in order of falling intensity, 2θ = 10–90°:
Position (°2θ)	Rel. int.
29.42	100.0
42.10	73.7
25.41	34.6
69.21	32.4
52.19	25.7
76.94	24.0

Structure:
```
data_Na6SnBr8
_chemical_formula_sum 'Na24 Sn4 Br32'
_cell_length_a 12.142
_cell_length_b 12.142
_cell_length_c 12.142
_cell_angle_alpha 90.00
_cell_angle_beta 90.00
_cell_angle_gamma 90.00
_space_group_name_H-M_alt 'F m -3 m'
_space_group_IT_number 225
_space_group_name_Hall '-F 4 2 3'
loop_
_atom_site_label
_atom_site_type_symbol
_atom_site_fract_x
_atom_site_fract_y
_atom_site_fract_z
_atom_site_occupancy
Na1 Na 0.000 0.250 0.250 1
Sn1 Sn 0.000 0.000 0.000 1
Br1 Br 0.000 0.000 0.247 1
Br2 Br 0.250 0.250 0.250 1
```

[6]
Theoretical powder X-ray diffraction pattern of Na2SnBr2 for CuKα, from DFT lattice parameters and positions (PBE).

Largest 6 diffraction maxima, in order of falling intensity, 2θ = 10–90°:
Position (°2θ)	Rel. int.
31.65	100.0
34.04	76.3
29.16	52.2
32.49	44.8
62.38	38.4
22.24	34.3

Structure:
```
data_Na2SnBr2
_chemical_formula_sum 'Na4 Sn2 Br4'
_cell_length_a 8.939
_cell_length_b 8.939
_cell_length_c 3.500
_cell_angle_alpha 90.00
_cell_angle_beta 90.00
_cell_angle_gamma 90.00
_space_group_name_H-M_alt 'P 4/m b m'
_space_group_IT_number 127
_space_group_name_Hall '-P 4 2ab'
loop_
_atom_site_label
_atom_site_type_symbol
_atom_site_fract_x
_atom_site_fract_y
_atom_site_fract_z
_atom_site_occupancy
Na1 Na 0.140 0.360 0.000 1
Sn1 Sn 0.000 0.000 0.000 1
Br1 Br 0.152 0.652 0.500 1
```